This entry pairs a crystal structure of HgC6N12Cl3 with its simulated powder X-ray diffraction pattern. Radiation: copper Kα. Structure: a structure optimized by DFT (PBE).
Intensities are scaled so that the largest is 100.

Atomic structure:
a = 9.8238 Å, b = 7.1762 Å, c = 12.4246 Å
α = 90.00°, β = 99.90°, γ = 90.00°
Space group P2_1 (No. 4)
One atom of each set of equivalent atoms:
Hg (0.0077, 0.0000, 0.2546) x2
C (0.3763, 0.5915, 0.0778) x2
C (0.3768, 0.5779, 0.2620) x2
C (0.3924, 0.0846, 0.2086) x2
C (0.3946, 0.0768, 0.3933) x2
C (0.4078, 0.6481, 0.6723) x2
C (0.4229, 0.1409, 0.8022) x2
N (0.2699, 0.6821, 0.6548) x2
N (0.2852, 0.1734, 0.7825) x2
N (0.3032, 0.5558, 0.1594) x2
N (0.3057, 0.5844, 0.9740) x2
N (0.3092, 0.5458, 0.3465) x2
N (0.3220, 0.0444, 0.2914) x2
N (0.3224, 0.0648, 0.1053) x2
N (0.3252, 0.0548, 0.4778) x2
N (0.4698, 0.6268, 0.5833) x2
N (0.4730, 0.6399, 0.7783) x2
N (0.4865, 0.1299, 0.9086) x2
N (0.4872, 0.1255, 0.7134) x2
Cl (0.0077, 0.3265, 0.2138) x2
Cl (0.0094, 0.8261, 0.0837) x2
Cl (0.0127, 0.8250, 0.4171) x2

Top 10 peaks for 15° ≤ 2θ ≤ 90°, in order of falling intensity:
- 2θ = 16.31°, d 5.434, I = 100
- 2θ = 18.33°, d 4.839, I = 75
- 2θ = 17.67°, d 5.021, I = 56
- 2θ = 28.88°, d 3.092, I = 53
- 2θ = 27.65°, d 3.226, I = 44
- 2θ = 26.49°, d 3.364, I = 43
- 2θ = 24.31°, d 3.661, I = 40
- 2θ = 22.31°, d 3.984, I = 36
- 2θ = 28.06°, d 3.180, I = 35
- 2θ = 25.39°, d 3.508, I = 30

This entry pairs a crystal structure of HgCN2Cl2O with its simulated powder X-ray diffraction pattern. Radiation: copper Kα. Structure: a structure optimized by DFT (PBE).
Intensities are scaled so that the largest is 100.

Atomic structure:
a = 7.4074 Å, b = 9.3194 Å, c = 11.0644 Å
α = 74.70°, β = 76.86°, γ = 81.77°
Space group P-1 (No. 2)
One atom of each set of equivalent atoms:
Hg (0.2084, 0.4047, 0.1221) x2
Hg (0.2134, 0.1581, 0.4872) x2
C (0.3016, 0.7418, 0.6230) x2
C (0.3311, 0.7937, 0.9615) x2
N (0.2056, 0.6203, 0.6951) x2
N (0.2238, 0.6533, 0.5689) x2
N (0.2772, 0.8964, 0.0365) x2
N (0.3013, 0.9460, 0.9103) x2
Cl (0.1575, 0.2962, 0.9688) x2
Cl (0.1681, 0.0481, 0.3314) x2
Cl (0.2609, 0.2671, 0.6394) x2
Cl (0.2656, 0.4990, 0.2821) x2
O (0.3744, 0.6684, 0.9481) x2
O (0.3840, 0.8475, 0.6151) x2

Top 10 peaks for 15° ≤ 2θ ≤ 90°, in order of falling intensity:
- 2θ = 26.54°, d 3.358, I = 100
- 2θ = 24.79°, d 3.591, I = 78
- 2θ = 15.11°, d 5.863, I = 59
- 2θ = 34.48°, d 2.601, I = 50
- 2θ = 16.49°, d 5.376, I = 38
- 2θ = 23.68°, d 3.757, I = 35
- 2θ = 18.59°, d 4.773, I = 33
- 2θ = 16.95°, d 5.230, I = 29
- 2θ = 33.13°, d 2.704, I = 25
- 2θ = 29.21°, d 3.058, I = 24

This entry pairs a crystal structure of HgCN2Cl2O with its simulated powder X-ray diffraction pattern. Radiation: copper Kα. Structure: a structure optimized by DFT (PBE).
Intensities are scaled so that the largest is 100.

Atomic structure:
a = 7.4936 Å, b = 10.3669 Å, c = 11.5783 Å
α = 75.35°, β = 77.17°, γ = 84.25°
Space group P-1 (No. 2)
One atom of each set of equivalent atoms:
Hg (0.1901, 0.4196, 0.1266) x2
Hg (0.2106, 0.1566, 0.4871) x2
C (0.3019, 0.7408, 0.6256) x2
C (0.3409, 0.7927, 0.9673) x2
N (0.2054, 0.6278, 0.6877) x2
N (0.2341, 0.6606, 0.5668) x2
N (0.2985, 0.0323, 0.9519) x2
N (0.3118, 0.9113, 0.9618) x2
Cl (0.1232, 0.3348, 0.9765) x2
Cl (0.1583, 0.0606, 0.3383) x2
Cl (0.2556, 0.2585, 0.6315) x2
Cl (0.2670, 0.4840, 0.2850) x2
O (0.3695, 0.6770, 0.9663) x2
O (0.3801, 0.8365, 0.6260) x2

Top 10 peaks for 15° ≤ 2θ ≤ 90°, in order of falling intensity:
- 2θ = 17.57°, d 5.048, I = 100
- 2θ = 24.05°, d 3.700, I = 73
- 2θ = 24.39°, d 3.650, I = 67
- 2θ = 24.89°, d 3.577, I = 66
- 2θ = 22.08°, d 4.026, I = 48
- 2θ = 26.39°, d 3.378, I = 39
- 2θ = 16.17°, d 5.483, I = 37
- 2θ = 15.35°, d 5.772, I = 34
- 2θ = 29.76°, d 3.002, I = 33
- 2θ = 34.12°, d 2.628, I = 29

This entry pairs a crystal structure of HgCSNCl with its simulated powder X-ray diffraction pattern. Radiation: copper Kα. Structure: a structure optimized by DFT (PBE).
Intensities are scaled so that the largest is 100.

Atomic structure:
a = 10.9193 Å, b = 4.4125 Å, c = 10.2621 Å
α = 90.00°, β = 90.00°, γ = 90.00°
Space group Pnma (No. 62)
One atom of each set of equivalent atoms:
Hg (0.1384, 0.2500, 0.0930) x4
C (0.1551, 0.7500, 0.3822) x4
S (0.1452, 0.7500, 0.5436) x4
N (0.1543, 0.7500, 0.2672) x4
Cl (0.0778, 0.7500, 0.8742) x4

Top 10 peaks for 15° ≤ 2θ ≤ 90°, in order of falling intensity:
- 2θ = 23.41°, d 3.800, I = 100
- 2θ = 33.13°, d 2.704, I = 69
- 2θ = 27.89°, d 3.199, I = 64
- 2θ = 47.30°, d 1.922, I = 64
- 2θ = 19.11°, d 4.644, I = 53
- 2θ = 21.93°, d 4.054, I = 39
- 2θ = 18.41°, d 4.820, I = 37
- 2θ = 25.97°, d 3.431, I = 36
- 2θ = 36.48°, d 2.463, I = 33
- 2θ = 32.81°, d 2.730, I = 30

This entry pairs a crystal structure of HgCSN2Cl2 with its simulated powder X-ray diffraction pattern. Radiation: copper Kα. Structure: a structure optimized by DFT (PBE).
Intensities are scaled so that the largest is 100.

Atomic structure:
a = 8.8117 Å, b = 4.1078 Å, c = 9.7959 Å
α = 90.00°, β = 91.66°, γ = 90.00°
Space group P2_1 (No. 4)
One atom of each set of equivalent atoms:
Hg (0.1695, 0.0000, 0.3918) x2
C (0.2267, 0.9714, 0.0504) x2
S (0.0701, 0.9759, 0.1377) x2
N (0.3341, 0.9654, 0.9807) x2
N (0.4099, 0.5187, 0.7567) x2
Cl (0.1113, 0.0115, 0.6362) x2
Cl (0.3489, 0.5007, 0.3631) x2

Top 10 peaks for 15° ≤ 2θ ≤ 90°, in order of falling intensity:
- 2θ = 29.74°, d 3.004, I = 100
- 2θ = 23.90°, d 3.723, I = 94
- 2θ = 25.49°, d 3.494, I = 56
- 2θ = 31.32°, d 2.856, I = 54
- 2θ = 21.01°, d 4.228, I = 51
- 2θ = 47.47°, d 1.915, I = 42
- 2θ = 21.89°, d 4.061, I = 41
- 2θ = 44.08°, d 2.055, I = 32
- 2θ = 20.50°, d 4.333, I = 31
- 2θ = 34.70°, d 2.585, I = 31

This entry pairs a crystal structure of HoC8N4Cl7 with its simulated powder X-ray diffraction pattern. Radiation: copper Kα. Structure: a structure optimized by DFT (PBE).
Intensities are scaled so that the largest is 100.

Atomic structure:
a = 9.0367 Å, b = 14.4694 Å, c = 8.5891 Å
α = 90.00°, β = 90.00°, γ = 90.00°
Space group P2_12_12 (No. 18)
One atom of each set of equivalent atoms:
Ho (0.0000, 0.0000, 0.1954) x2
C (0.0664, 0.6693, 0.8490) x4
C (0.1810, 0.6489, 0.1141) x4
C (0.2082, 0.4688, 0.4554) x4
C (0.2429, 0.3285, 0.6226) x4
N (0.1345, 0.6552, 0.9672) x4
N (0.2161, 0.4006, 0.5531) x4
Cl (0.0000, 0.5000, 0.4141) x2
Cl (0.1368, 0.1147, 0.8769) x4
Cl (0.1487, 0.0928, 0.3889) x4
Cl (0.1998, 0.8951, 0.0900) x4

Top 10 peaks for 15° ≤ 2θ ≤ 90°, in order of falling intensity:
- 2θ = 18.80°, d 4.719, I = 100
- 2θ = 31.28°, d 2.860, I = 45
- 2θ = 15.49°, d 5.719, I = 44
- 2θ = 23.75°, d 3.747, I = 41
- 2θ = 29.55°, d 3.023, I = 38
- 2θ = 28.54°, d 3.128, I = 35
- 2θ = 31.69°, d 2.824, I = 32
- 2θ = 23.08°, d 3.854, I = 26
- 2θ = 33.88°, d 2.646, I = 25
- 2θ = 29.01°, d 3.078, I = 24